Starting from a structure optimized by DFT (PBE), the XRD peak list of BeSe was calculated for Cu Kα (λ = 1.5418 Å).

Principal peaks in the range 10° ≤ 2θ ≤ 80°, by angle:
2θ/deg  I (rel.)
12.8  42
18.1  11
26.0  16
28.8  68
31.9  100
33.0  12
41.2  19
48.4  11
53.0  33
58.6  18

Cell and atoms:
```
data_BeSe
_chemical_formula_sum 'Be8 Se8'
_space_group_name_H-M_alt 'P 4/m'
_space_group_IT_number 83
_space_group_name_Hall '-P 4'
_cell_length_a 9.7923
_cell_length_b 9.7923
_cell_length_c 3.6624
_cell_angle_alpha 90.00
_cell_angle_beta 90.00
_cell_angle_gamma 90.00
loop_
_atom_site_label
_atom_site_type_symbol
_atom_site_fract_x
_atom_site_fract_y
_atom_site_fract_z
Be1 Be 0.0658 0.3867 0.0000
Be2 Be 0.1268 0.7140 0.5000
Se1 Se 0.1028 0.2636 0.5000
Se2 Se 0.1718 0.5894 0.0000
```